Starting from a crystal structure in Alexandria, relaxed with GGA-PBE, the X-ray diffraction stick pattern of CrTe2I was computed for CuKα.
No peak broadening, texture or thermal motion is included.

Peak list (10 most intense, 5 to 70 degrees two-theta, in order of rising 2θ)
| hkl | two_theta | d (Å) | I (rel.) |
| --- | --- | --- | --- |
| 1 1 0 | 14.8 | 5.980 | 43 |
| 2 0 0 | 23.7 | 3.758 | 65 |
| 2 0 -2 | 24.5 | 3.631 | 79 |
| 0 2 1 | 24.8 | 3.588 | 42 |
| 1 1 1 | 28.2 | 3.162 | 68 |
| 3 1 -2 | 28.8 | 3.103 | 49 |
| 1 3 0 | 29.6 | 3.014 | 100 |
| 4 0 -2 | 34.3 | 2.611 | 72 |
| 3 3 -2 | 38.8 | 2.319 | 66 |
| 4 2 -1 | 42.3 | 2.135 | 36 |

Crystal structure
```
data_CrTe2I
_cell_length_a 10.4426
_cell_length_b 9.8699
_cell_length_c 7.2626
_cell_angle_alpha 90.00
_cell_angle_beta 133.97
_cell_angle_gamma 90.00
_symmetry_space_group_name_H-M 'C 1 c 1'
_symmetry_Int_Tables_number 9
_symmetry_space_group_name_Hall 'C -2yc'
loop_
_atom_site_label
_atom_site_type_symbol
_atom_site_fract_x
_atom_site_fract_y
_atom_site_fract_z
Cr1 Cr 0.0000 0.0827 0.0000
Te1 Te 0.2503 0.4842 0.5053
Te2 Te 0.3018 0.2142 0.4609
I1 I 0.1756 0.1337 0.8359
```

Starting from a crystal structure in Alexandria, relaxed with GGA-PBE, the X-ray diffraction stick pattern of NaCd3Hg4Pb2 was computed for CuKα.
No peak broadening, texture or thermal motion is included.

Peak list (10 most intense, 5 to 70 degrees two-theta, in order of rising 2θ)
| hkl | two_theta | d (Å) | I (rel.) |
| --- | --- | --- | --- |
| 0 0 3 | 19.5 | 4.562 | 15 |
| 1 0 3 | 28.0 | 3.184 | 44 |
| 1 1 2 | 31.3 | 2.856 | 100 |
| 1 0 5 | 38.6 | 2.331 | 47 |
| 1 1 4 | 38.9 | 2.315 | 21 |
| 2 0 0 | 40.6 | 2.223 | 50 |
| 2 1 3 | 50.1 | 1.822 | 18 |
| 2 1 5 | 57.3 | 1.608 | 30 |
| 2 2 0 | 58.8 | 1.572 | 17 |
| 3 1 2 | 68.1 | 1.377 | 22 |

Crystal structure
```
data_NaCd3Hg4Pb2
_cell_length_a 4.4451
_cell_length_b 4.4451
_cell_length_c 13.6846
_cell_angle_alpha 90.00
_cell_angle_beta 90.00
_cell_angle_gamma 90.00
_symmetry_space_group_name_H-M 'P -4 m 2'
_symmetry_Int_Tables_number 115
_symmetry_space_group_name_Hall 'P -4 -2'
loop_
_atom_site_label
_atom_site_type_symbol
_atom_site_fract_x
_atom_site_fract_y
_atom_site_fract_z
Na1 Na 0.0000 0.0000 0.0000
Cd1 Cd 0.0000 0.5000 0.3514
Cd2 Cd 0.5000 0.5000 0.0000
Hg1 Hg 0.0000 0.0000 0.5000
Hg2 Hg 0.0000 0.5000 0.1452
Hg3 Hg 0.5000 0.5000 0.5000
Pb1 Pb 0.0000 0.5000 0.7617
```

Starting from a crystal structure in Alexandria, relaxed with GGA-PBE, the X-ray diffraction stick pattern of ZnSb2Pt was computed for CuKα.
No peak broadening, texture or thermal motion is included.

Peak list (10 most intense, 5 to 70 degrees two-theta, in order of rising 2θ)
| hkl | two_theta | d (Å) | I (rel.) |
| --- | --- | --- | --- |
| 0 0 1 | 14.8 | 5.987 | 45 |
| 2 0 -1 | 23.1 | 3.850 | 18 |
| 2 0 -2 | 31.2 | 2.871 | 26 |
| 1 1 1 | 32.4 | 2.765 | 100 |
| 3 1 -1 | 41.4 | 2.182 | 43 |
| 1 1 2 | 43.3 | 2.088 | 18 |
| 2 0 -3 | 43.5 | 2.081 | 20 |
| 3 1 -2 | 45.2 | 2.004 | 23 |
| 4 0 0 | 47.9 | 1.898 | 18 |
| 0 2 0 | 48.4 | 1.881 | 19 |

Crystal structure
```
data_ZnSb2Pt
_cell_length_a 8.0700
_cell_length_b 3.7618
_cell_length_c 6.3636
_cell_angle_alpha 90.00
_cell_angle_beta 109.80
_cell_angle_gamma 90.00
_symmetry_space_group_name_H-M 'C 1 m 1'
_symmetry_Int_Tables_number 8
_symmetry_space_group_name_Hall 'C -2y'
loop_
_atom_site_label
_atom_site_type_symbol
_atom_site_fract_x
_atom_site_fract_y
_atom_site_fract_z
Zn1 Zn 0.0000 0.0000 0.0000
Sb1 Sb 0.0064 0.5000 0.6302
Sb2 Sb 0.2768 0.5000 0.2186
Pt1 Pt 0.2559 0.0000 0.8513
```

Starting from a crystal structure in Alexandria, relaxed with GGA-PBE, the X-ray diffraction stick pattern of Pm4IrAu was computed for CuKα.
No peak broadening, texture or thermal motion is included.

Peak list (10 most intense, 5 to 70 degrees two-theta, in order of rising 2θ)
| hkl | two_theta | d (Å) | I (rel.) |
| --- | --- | --- | --- |
| 1 0 -1 | 15.9 | 5.561 | 37 |
| 1 0 1 | 23.5 | 3.779 | 16 |
| 0 1 1 | 24.1 | 3.697 | 34 |
| 2 0 0 | 31.6 | 2.832 | 49 |
| 1 1 -2 | 31.8 | 2.810 | 100 |
| 1 1 2 | 40.5 | 2.225 | 48 |
| 0 2 0 | 41.6 | 2.169 | 24 |
| 2 0 -4 | 49.4 | 1.844 | 14 |
| 3 1 -2 | 50.0 | 1.824 | 28 |
| 2 2 0 | 53.2 | 1.722 | 23 |

Crystal structure
```
data_Pm4IrAu
_cell_length_a 6.1161
_cell_length_b 4.3380
_cell_length_c 7.6336
_cell_angle_alpha 90.00
_cell_angle_beta 112.16
_cell_angle_gamma 90.00
_symmetry_space_group_name_H-M 'P 1 m 1'
_symmetry_Int_Tables_number 6
_symmetry_space_group_name_Hall 'P -2y'
loop_
_atom_site_label
_atom_site_type_symbol
_atom_site_fract_x
_atom_site_fract_y
_atom_site_fract_z
Pm1 Pm 0.0000 0.0000 0.0000
Pm2 Pm 0.0424 0.0000 0.5456
Pm3 Pm 0.4975 0.5000 0.0045
Pm4 Pm 0.5431 0.5000 0.5350
Ir1 Ir 0.5221 0.0000 0.7703
Au1 Au 0.0183 0.5000 0.2724
```

Starting from a crystal structure in Alexandria, relaxed with GGA-PBE, the X-ray diffraction stick pattern of Dy4Bi5C was computed for CuKα.
No peak broadening, texture or thermal motion is included.

Peak list (10 most intense, 5 to 70 degrees two-theta, in order of rising 2θ)
| hkl | two_theta | d (Å) | I (rel.) |
| --- | --- | --- | --- |
| 1 1 -1 | 25.4 | 3.503 | 55 |
| 3 1 1 | 29.0 | 3.081 | 44 |
| 6 0 -1 | 30.9 | 2.898 | 76 |
| 1 1 -2 | 32.0 | 2.796 | 80 |
| 1 1 2 | 32.1 | 2.787 | 35 |
| 0 0 3 | 33.6 | 2.668 | 65 |
| 3 1 -2 | 34.8 | 2.579 | 72 |
| 5 1 1 | 35.0 | 2.562 | 100 |
| 0 2 0 | 45.5 | 1.992 | 49 |
| 5 1 4 | 57.5 | 1.602 | 37 |

Crystal structure
```
data_Dy4Bi5C
_cell_length_a 18.5470
_cell_length_b 3.9843
_cell_length_c 8.0045
_cell_angle_alpha 90.00
_cell_angle_beta 90.84
_cell_angle_gamma 90.00
_symmetry_space_group_name_H-M 'C 1 2/m 1'
_symmetry_Int_Tables_number 12
_symmetry_space_group_name_Hall '-C 2y'
loop_
_atom_site_label
_atom_site_type_symbol
_atom_site_fract_x
_atom_site_fract_y
_atom_site_fract_z
Dy1 Dy 0.0381 0.0000 0.3159
Dy2 Dy 0.1184 0.5000 0.6375
Bi1 Bi 0.0000 0.5000 0.0000
Bi2 Bi 0.1358 0.0000 0.9548
Bi3 Bi 0.2089 0.0000 0.3689
C1 C 0.0000 0.5000 0.5000
```

Starting from a crystal structure in Alexandria, relaxed with GGA-PBE, the X-ray diffraction stick pattern of Cs3Tl7Te4 was computed for CuKα.
No peak broadening, texture or thermal motion is included.

Peak list (10 most intense, 5 to 70 degrees two-theta, in order of rising 2θ)
| hkl | two_theta | d (Å) | I (rel.) |
| --- | --- | --- | --- |
| 1 1 2 | 26.6 | 3.346 | 100 |
| 3 1 -3 | 27.0 | 3.306 | 64 |
| 5 1 -2 | 27.1 | 3.293 | 69 |
| 3 1 1 | 27.5 | 3.240 | 41 |
| 1 1 -3 | 28.8 | 3.102 | 45 |
| 5 1 -3 | 29.2 | 3.060 | 68 |
| 6 0 0 | 31.9 | 2.806 | 60 |
| 0 2 0 | 32.6 | 2.743 | 98 |
| 1 1 3 | 34.1 | 2.628 | 48 |
| 6 2 0 | 46.3 | 1.962 | 43 |

Crystal structure
```
data_Cs3Tl7Te4
_cell_length_a 20.6966
_cell_length_b 5.4855
_cell_length_c 12.4572
_cell_angle_alpha 90.00
_cell_angle_beta 125.55
_cell_angle_gamma 90.00
_symmetry_space_group_name_H-M 'C 1 2/m 1'
_symmetry_Int_Tables_number 12
_symmetry_space_group_name_Hall '-C 2y'
loop_
_atom_site_label
_atom_site_type_symbol
_atom_site_fract_x
_atom_site_fract_y
_atom_site_fract_z
Cs1 Cs 0.0000 0.0000 0.0000
Cs2 Cs 0.2025 0.5000 0.7033
Tl1 Tl 0.0000 0.0000 0.5000
Tl2 Tl 0.0028 0.5000 0.6956
Tl3 Tl 0.1492 0.0000 0.4349
Tl4 Tl 0.1776 0.5000 0.0260
Te1 Te 0.1274 0.0000 0.8432
Te2 Te 0.1624 0.5000 0.3035
```

What is the formula in the fifth record?
Dy4Bi5C

Number 4 is which compound?
Pm4IrAu